1.
# Th3BiOsC
Calculated powder XRD pattern, Cu Kα (weighted mean of Kα1 and Kα2). Input: a crystal structure in Alexandria, relaxed with GGA-PBE.
Lines closer than 0.1° are merged.

Peak list (8 most intense, 10° ≤ 2θ ≤ 90°, most intense first)
| 2θ (°) | I_rel |
| --- | --- |
| 29.3 | 100 |
| 28.7 | 37 |
| 38.0 | 24 |
| 12.1 | 23 |
| 42.4 | 21 |
| 44.7 | 21 |
| 52.0 | 15 |
| 30.9 | 13 |

a b c (Å): 8.953 4.261 9.635
angles (deg): 90.00 104.25 90.00
Element x y z (fractional)
Th 0.055 0.250 0.359
Th 0.328 0.250 0.972
Th 0.377 0.750 0.649
Th 0.623 0.250 0.351
Th 0.672 0.750 0.028
Th 0.945 0.750 0.641
Bi 0.311 0.750 0.267
Bi 0.689 0.250 0.733
Os 0.161 0.250 0.654
Os 0.839 0.750 0.346
C 0.414 0.750 0.897
C 0.586 0.250 0.103


2.
# Pa3BiC2
Calculated powder XRD pattern, Cu Kα (weighted mean of Kα1 and Kα2). Input: a crystal structure in Alexandria, relaxed with GGA-PBE.
Lines closer than 0.1° are merged.

Peak list (8 most intense, 10° ≤ 2θ ≤ 90°, most intense first)
| 2θ (°) | I_rel |
| --- | --- |
| 32.7 | 100 |
| 29.6 | 71 |
| 28.4 | 63 |
| 26.1 | 59 |
| 26.9 | 54 |
| 55.4 | 39 |
| 45.7 | 33 |
| 36.8 | 27 |

a b c (Å): 6.701 3.969 11.388
angles (deg): 90.00 96.28 90.00
Element x y z (fractional)
Pa 0.128 0.250 0.290
Pa 0.187 0.250 0.947
Pa 0.370 0.250 0.599
Pa 0.630 0.750 0.401
Pa 0.813 0.750 0.053
Pa 0.872 0.750 0.710
Bi 0.392 0.750 0.149
Bi 0.608 0.250 0.851
C 0.027 0.750 0.901
C 0.435 0.250 0.407
C 0.565 0.750 0.593
C 0.973 0.250 0.099


3.
# Pa2BiC
Calculated powder XRD pattern, Cu Kα (weighted mean of Kα1 and Kα2). Input: a crystal structure in Alexandria, relaxed with GGA-PBE.
Lines closer than 0.1° are merged.

Peak list (8 most intense, 10° ≤ 2θ ≤ 90°, most intense first)
| 2θ (°) | I_rel |
| --- | --- |
| 33.3 | 100 |
| 34.9 | 99 |
| 31.0 | 70 |
| 63.2 | 49 |
| 53.7 | 40 |
| 30.4 | 37 |
| 55.4 | 25 |
| 58.7 | 22 |

a b c (Å): 8.890 8.890 8.890
angles (deg): 22.15 22.15 22.15
Element x y z (fractional)
Pa 0.000 0.000 0.000
Pa 0.219 0.219 0.219
Bi 0.443 0.443 0.443
C 0.610 0.610 0.610


4.
# Pu4BiPbC
Calculated powder XRD pattern, Cu Kα (weighted mean of Kα1 and Kα2). Input: a crystal structure in Alexandria, relaxed with GGA-PBE.
Lines closer than 0.1° are merged.

Peak list (8 most intense, 10° ≤ 2θ ≤ 90°, most intense first)
| 2θ (°) | I_rel |
| --- | --- |
| 34.3 | 100 |
| 28.4 | 61 |
| 37.3 | 53 |
| 50.6 | 33 |
| 65.3 | 33 |
| 32.9 | 27 |
| 63.1 | 22 |
| 53.8 | 19 |

a b c (Å): 8.851 8.851 6.819
angles (deg): 90.00 90.00 134.66
Element x y z (fractional)
Pu 0.000 0.500 0.000
Pu 0.000 0.500 0.500
Pu 0.095 0.905 0.750
Pu 0.403 0.597 0.750
Pu 0.500 0.000 0.000
Pu 0.500 0.000 0.500
Pu 0.597 0.403 0.250
Pu 0.905 0.095 0.250
Bi 0.395 0.605 0.250
Bi 0.605 0.395 0.750
Pb 0.107 0.893 0.250
Pb 0.893 0.107 0.750
C 0.249 0.751 0.750
C 0.751 0.249 0.250


5.
# Pm3Bi2C
Calculated powder XRD pattern, Cu Kα (weighted mean of Kα1 and Kα2). Input: a crystal structure in Alexandria, relaxed with GGA-PBE.
Lines closer than 0.1° are merged.

Peak list (8 most intense, 10° ≤ 2θ ≤ 90°, most intense first)
| 2θ (°) | I_rel |
| --- | --- |
| 30.5 | 100 |
| 27.2 | 63 |
| 34.1 | 56 |
| 30.6 | 38 |
| 41.3 | 34 |
| 41.5 | 26 |
| 58.8 | 17 |
| 57.3 | 17 |

a b c (Å): 8.100 8.100 7.383
angles (deg): 102.93 102.93 47.69
Element x y z (fractional)
Pm 0.074 0.926 0.750
Pm 0.360 0.399 0.428
Pm 0.399 0.360 0.928
Pm 0.601 0.640 0.072
Pm 0.640 0.601 0.572
Pm 0.926 0.074 0.250
Bi 0.157 0.205 0.083
Bi 0.205 0.157 0.583
Bi 0.795 0.843 0.417
Bi 0.843 0.795 0.917
C 0.441 0.559 0.750
C 0.559 0.441 0.250


6.
# Pm6Bi2C
Calculated powder XRD pattern, Cu Kα (weighted mean of Kα1 and Kα2). Input: a crystal structure in Alexandria, relaxed with GGA-PBE.
Lines closer than 0.1° are merged.

Peak list (8 most intense, 10° ≤ 2θ ≤ 90°, most intense first)
| 2θ (°) | I_rel |
| --- | --- |
| 30.6 | 100 |
| 51.1 | 37 |
| 35.4 | 35 |
| 60.7 | 29 |
| 35.6 | 17 |
| 60.8 | 14 |
| 63.7 | 13 |
| 83.3 | 12 |

a b c (Å): 7.151 7.151 7.151
angles (deg): 119.89 119.89 90.19
Element x y z (fractional)
Pm 0.246 0.246 0.000
Pm 0.246 0.246 0.491
Pm 0.246 0.754 0.000
Pm 0.754 0.246 0.000
Pm 0.754 0.754 0.000
Pm 0.754 0.754 0.509
Bi 0.250 0.750 0.500
Bi 0.750 0.250 0.500
C 0.000 0.000 0.000